Record 1
Structure and computed PXRD pattern of SnPSe3 (a GGA-PBE-relaxed structure; Cu Kα (λ = 1.5418 Å)).

Structural model:
```
SnPSe3
1.0
7.764 0.000 0.000
0.000 7.729 0.000
-4.596 0.000 10.070
Sn P Se
4 4 12
Direct
0.229 0.121 0.250
0.229 0.379 0.750
0.771 0.621 0.250
0.771 0.879 0.750
0.023 0.132 0.552
0.023 0.368 0.052
0.977 0.632 0.948
0.977 0.868 0.448
0.091 0.187 0.921
0.091 0.313 0.421
0.266 0.715 0.952
0.266 0.785 0.452
0.452 0.671 0.665
0.452 0.829 0.165
0.548 0.171 0.835
0.548 0.329 0.335
0.734 0.215 0.548
0.734 0.285 0.048
0.909 0.687 0.579
0.909 0.813 0.079
```

Principal peaks in the range 2θ from 10° to 90°, low angle first:
2θ 20.42, I = 100; 2θ 23.01, I = 66; 2θ 27.77, I = 65; 2θ 32.74, I = 94; 2θ 35.42, I = 81; 2θ 36.64, I = 67

---

Record 2
Structure and computed PXRD pattern of SnPSe3 (a GGA-PBE-relaxed structure; Cu Kα (λ = 1.5418 Å)).

Structural model:
```
SnPSe3
1.0
6.996 0.000 0.000
0.000 7.904 0.000
-6.821 0.000 9.880
Sn P Se
4 4 12
Direct
0.000 0.116 0.000
0.000 0.884 0.500
0.454 0.369 0.502
0.454 0.631 0.002
0.072 0.358 0.647
0.072 0.642 0.147
0.323 0.148 0.778
0.323 0.852 0.278
0.100 0.058 0.267
0.100 0.942 0.767
0.305 0.446 0.154
0.305 0.554 0.654
0.474 0.058 0.667
0.474 0.942 0.167
0.573 0.255 0.981
0.573 0.745 0.481
0.822 0.240 0.447
0.822 0.760 0.947
0.904 0.449 0.746
0.904 0.551 0.246
```

Principal peaks in the range 2θ from 10° to 90°, low angle first:
2θ 28.93, I = 82; 2θ 29.49, I = 48; 2θ 31.59, I = 69; 2θ 31.89, I = 80; 2θ 35.52, I = 61; 2θ 36.42, I = 100

---

Record 3
Structure and computed PXRD pattern of Tl3PSe4 (a GGA-PBE-relaxed structure; Cu Kα (λ = 1.5418 Å)).

Structural model:
```
Tl3PSe4
1.0
9.471 0.000 0.000
0.000 11.299 0.000
0.000 0.000 9.587
Tl P Se
12 4 16
Direct
0.067 0.054 0.194
0.067 0.446 0.194
0.098 0.750 0.392
0.402 0.250 0.892
0.433 0.554 0.694
0.433 0.946 0.694
0.567 0.054 0.306
0.567 0.446 0.306
0.598 0.750 0.108
0.902 0.250 0.608
0.933 0.554 0.806
0.933 0.946 0.806
0.220 0.750 0.972
0.280 0.250 0.472
0.720 0.750 0.528
0.780 0.250 0.028
0.005 0.750 0.067
0.160 0.088 0.533
0.160 0.412 0.533
0.191 0.750 0.739
0.309 0.250 0.239
0.340 0.588 0.033
0.340 0.912 0.033
0.495 0.250 0.567
0.505 0.750 0.433
0.660 0.088 0.967
0.660 0.412 0.967
0.691 0.750 0.761
0.809 0.250 0.261
0.840 0.588 0.467
0.840 0.912 0.467
0.995 0.250 0.933
```

Principal peaks in the range 2θ from 10° to 90°, low angle first:
2θ 20.92, I = 57; 2θ 29.04, I = 48; 2θ 30.32, I = 100; 2θ 30.89, I = 53; 2θ 31.76, I = 54; 2θ 33.58, I = 53

---

Record 4
Structure and computed PXRD pattern of U3P2Se (a GGA-PBE-relaxed structure; Cu Kα (λ = 1.5418 Å)).

Structural model:
```
U3P2Se
1.0
-1.983 2.808 5.965
1.983 -2.808 5.965
1.983 2.808 -5.965
U P Se
3 2 1
Direct
0.000 0.000 0.000
0.324 0.324 0.000
0.676 0.676 0.000
0.163 0.663 0.500
0.837 0.337 0.500
0.500 0.000 0.500
```

Principal peaks in the range 2θ from 10° to 90°, low angle first:
2θ 27.51, I = 82; 2θ 31.87, I = 100; 2θ 45.68, I = 61; 2θ 54.17, I = 40; 2θ 75.76, I = 29; 2θ 84.60, I = 14

---

Record 5
Structure and computed PXRD pattern of U2PSe2 (a GGA-PBE-relaxed structure; Cu Kα (λ = 1.5418 Å)).

Structural model:
```
U2PSe2
1.0
2.699 0.000 0.000
0.000 2.699 0.000
0.000 0.000 15.262
U P Se
2 1 2
Direct
0.000 0.000 0.179
0.000 0.000 0.821
0.000 0.000 0.000
0.000 0.000 0.371
0.000 0.000 0.629
```

Principal peaks in the range 2θ from 10° to 90°, low angle first:
2θ 11.60, I = 92; 2θ 17.43, I = 44; 2θ 33.19, I = 100; 2θ 35.27, I = 50; 2θ 44.82, I = 50; 2θ 49.21, I = 46

---

Record 6
Structure and computed PXRD pattern of U5P3Se2 (a GGA-PBE-relaxed structure; Cu Kα (λ = 1.5418 Å)).

Structural model:
```
U5P3Se2
1.0
3.424 -10.045 0.000
3.424 10.045 0.000
-2.349 0.000 6.474
U P Se
10 6 4
Direct
0.000 0.500 0.000
0.096 0.391 0.493
0.185 0.291 0.000
0.291 0.185 0.500
0.391 0.096 0.993
0.500 0.000 0.500
0.609 0.904 0.007
0.709 0.815 0.500
0.815 0.709 0.000
0.904 0.609 0.507
0.049 0.951 0.750
0.152 0.848 0.250
0.350 0.650 0.250
0.650 0.350 0.750
0.848 0.152 0.750
0.951 0.049 0.250
0.252 0.748 0.750
0.452 0.548 0.750
0.548 0.452 0.250
0.748 0.252 0.250
```

Principal peaks in the range 2θ from 10° to 90°, low angle first:
2θ 27.28, I = 39; 2θ 27.56, I = 19; 2θ 27.71, I = 19; 2θ 31.81, I = 100; 2θ 45.51, I = 25; 2θ 45.71, I = 24

---

Record 7
Structure and computed PXRD pattern of Si3P (a GGA-PBE-relaxed structure; Cu Kα (λ = 1.5418 Å)).

Structural model:
```
Si3P
1.0
0.000 3.074 3.074
3.074 0.000 3.074
3.074 3.074 0.000
Si P
3 1
Direct
0.000 0.000 0.000
0.250 0.250 0.250
0.750 0.750 0.750
0.500 0.500 0.500
```

Principal peaks in the range 2θ from 10° to 90°, low angle first:
2θ 41.55, I = 100; 2θ 60.22, I = 16; 2θ 75.81, I = 33

---

Record 8
Structure and computed PXRD pattern of SiP (a GGA-PBE-relaxed structure; Cu Kα (λ = 1.5418 Å)).

Structural model:
```
SiP
1.0
1.765 -10.284 0.000
1.765 10.284 0.000
0.000 0.000 15.611
Si P
12 12
Direct
0.060 0.940 0.500
0.171 0.829 0.537
0.202 0.798 0.101
0.205 0.795 0.950
0.433 0.567 0.436
0.436 0.564 0.587
0.564 0.436 0.087
0.567 0.433 0.936
0.795 0.205 0.450
0.798 0.202 0.601
0.829 0.171 0.037
0.940 0.060 0.000
0.000 0.000 0.125
0.000 0.000 0.625
0.114 0.886 0.867
0.231 0.769 0.412
0.310 0.690 0.127
0.345 0.655 0.670
0.459 0.541 0.910
0.541 0.459 0.410
0.655 0.345 0.170
0.690 0.310 0.627
0.769 0.231 0.912
0.886 0.114 0.367
```

Principal peaks in the range 2θ from 10° to 90°, low angle first:
2θ 11.34, I = 100; 2θ 22.79, I = 23; 2θ 28.44, I = 21; 2θ 29.02, I = 17; 2θ 30.70, I = 32; 2θ 53.20, I = 16

---

Record 9
Structure and computed PXRD pattern of SiP (a GGA-PBE-relaxed structure; Cu Kα (λ = 1.5418 Å)).

Structural model:
```
SiP
1.0
0.000 2.672 2.672
2.672 0.000 2.672
2.672 2.672 0.000
Si P
1 1
Direct
0.000 0.000 0.000
0.250 0.250 0.250
```

Principal peaks in the range 2θ from 10° to 90°, low angle first:
2θ 28.94, I = 100; 2θ 48.16, I = 65; 2θ 57.17, I = 38; 2θ 70.48, I = 10; 2θ 77.92, I = 16; 2θ 89.93, I = 23

---

Record 10
Structure and computed PXRD pattern of ZnSiP2 (a GGA-PBE-relaxed structure; Cu Kα (λ = 1.5418 Å)).

Structural model:
```
ZnSiP2
1.0
-2.711 2.711 5.269
2.711 -2.711 5.269
2.711 2.711 -5.269
Zn Si P
2 2 4
Direct
0.000 0.000 0.000
0.750 0.250 0.500
0.250 0.750 0.500
0.500 0.500 0.000
0.143 0.625 0.018
0.375 0.393 0.518
0.607 0.125 0.982
0.875 0.857 0.482
```

Principal peaks in the range 2θ from 10° to 90°, low angle first:
2θ 18.40, I = 13; 2θ 28.80, I = 100; 2θ 47.43, I = 22; 2θ 48.17, I = 42; 2θ 56.44, I = 27; 2θ 88.85, I = 14

---

> What is the formula in the fifth record?

U2PSe2